Computed X-ray powder pattern of Li9Mn4B8O24 for CuKα, from the GGA+U geometry in Alexandria.

Top 10 peaks for 15 to 90 degrees two-theta, in order of rising 2θ:
| 2theta | d_spacing | I/Imax | index |
| --- | --- | --- | --- |
| 18.8 | 4.723 | 100 | 1 0 1 |
| 20.1 | 4.409 | 78 | 0 2 0 |
| 20.7 | 4.282 | 70 | 0 1 2 |
| 21.1 | 4.207 | 59 | 0 1 -2 |
| 22.5 | 3.960 | 24 | 1 1 -1 |
| 34.9 | 2.568 | 18 | 1 3 0 |
| 35.3 | 2.546 | 20 | 1 -3 0 |
| 36.2 | 2.480 | 13 | 2 -1 0 |
| 36.7 | 2.450 | 13 | -1 3 1 |
| 37.1 | 2.421 | 62 | 0 0 4 |

```
data_Li9Mn4B8O24
_cell_length_a 5.201
_cell_length_b 8.820
_cell_length_c 9.715
_cell_angle_alpha 88.76
_cell_angle_beta 85.62
_cell_angle_gamma 89.32
_space_group_name_H-M_alt 'P 1'
_space_group_IT_number 1
_space_group_name_Hall 'P 1'
loop_
_atom_site_label
_atom_site_type_symbol
_atom_site_fract_x
_atom_site_fract_y
_atom_site_fract_z
Li1 Li 0.000 0.000 0.000
Li2 Li 0.006 0.693 0.495
Li3 Li 0.069 0.669 0.957
Li4 Li 0.361 0.340 0.747
Li5 Li 0.369 0.616 0.252
Li6 Li 0.510 0.122 0.996
Li7 Li 0.554 0.091 0.534
Li8 Li 0.813 0.220 0.212
Li9 Li 0.872 0.184 0.760
Mn1 Mn 0.074 0.363 0.497
Mn2 Mn 0.293 0.947 0.255
Mn3 Mn 0.567 0.445 0.996
Mn4 Mn 0.782 0.858 0.751
B1 B 0.019 0.021 0.515
B2 B 0.031 0.328 0.981
B3 B 0.344 0.947 0.763
B4 B 0.345 0.285 0.241
B5 B 0.509 0.798 0.015
B6 B 0.516 0.448 0.489
B7 B 0.851 0.861 0.263
B8 B 0.852 0.516 0.739
O1 O 0.022 0.398 0.694
O2 O 0.062 0.768 0.287
O3 O 0.090 0.987 0.781
O4 O 0.104 0.310 0.306
O5 O 0.259 0.994 0.449
O6 O 0.293 0.300 0.956
O7 O 0.305 0.539 0.460
O8 O 0.351 0.925 0.053
O9 O 0.410 0.658 0.036
O10 O 0.427 0.303 0.532
O11 O 0.435 0.800 0.745
O12 O 0.448 0.142 0.215
O13 O 0.506 0.403 0.195
O14 O 0.548 0.050 0.764
O15 O 0.599 0.820 0.272
O16 O 0.616 0.473 0.798
O17 O 0.760 0.829 0.952
O18 O 0.768 0.490 0.478
O19 O 0.853 0.901 0.555
O20 O 0.858 0.210 0.981
O21 O 0.922 0.165 0.544
O22 O 0.939 0.473 0.004
O23 O 0.941 0.007 0.225
O24 O 0.941 0.663 0.723
```